For CaAl2Si2O8, DFT lattice parameters and positions (GGA-PBE) gives the simulated X-ray diffraction stick pattern in this record (Cu Kα (weighted mean of Kα1 and Kα2)).
Peak positions follow from Bragg's law for the DFT cell and can differ from measured ones.

Structural model:
```
26
Lattice="7.1849 0.0000 0.0000 -1.3480 7.5341 0.0000 -2.3093 -3.6712 6.4575" Properties=species:S:1:pos:R:3 pbc="T T T"
Ca -0.2416 0.8531 1.9090
Ca 3.7692 3.0098 4.5486
Al -0.0123 5.7278 1.1244
Al -0.3589 1.3663 5.1833
Al 3.8865 2.4966 1.2743
Al 3.5399 -1.8649 5.3331
Si -0.4322 -1.6642 5.2553
Si 0.2324 3.9265 3.6260
Si 3.2952 -0.0636 2.8315
Si 3.9599 5.5271 1.2022
O -1.9296 -2.3372 5.4690
O -1.8419 1.9526 5.9085
O -0.4673 -0.2445 4.4451
O -1.0190 4.7057 4.3640
O -0.1251 2.3217 3.6825
O 0.3294 4.3113 2.0596
O 1.8965 -0.3545 2.0162
O 2.5088 2.2067 0.2613
O 1.0188 1.6562 6.1963
O 1.6311 4.2174 4.4413
O 3.1982 -0.4484 4.3979
O 3.6528 1.5412 2.7751
O 4.5466 -0.8428 2.0935
O 3.9949 4.1074 2.0125
O 5.3695 1.9103 0.5490
O 5.4572 6.2001 0.9886
```

Peak list (12 most intense, 2θ = 10–80°, low angle first)
21.5 deg, I = 26, hkl -1 1 1; 24.0 deg, I = 33, hkl 0 1 -2; 25.3 deg, I = 24, hkl 1 0 -2; 27.2 deg, I = 38, hkl 0 2 0; 27.5 deg, I = 72, hkl -2 1 1; 27.6 deg, I = 100, hkl 2 0 0; 29.3 deg, I = 15, hkl 1 2 -1; 30.0 deg, I = 43, hkl 1 2 -2; 31.0 deg, I = 16, hkl 1 -1 2; 34.7 deg, I = 27, hkl 1 1 -3; 48.4 deg, I = 19, hkl 0 2 2; 51.0 deg, I = 16, hkl -4 1 1